Entry 1:
Theoretical powder X-ray diffraction pattern
Compound: Li4Co5NiO12
Radiation: Cu Kα (λ = 1.5418 Å)
Structure: a PBE+U-relaxed structure

Main lines, by intensity (10° ≤ 2θ ≤ 90°):
2θ 17.8, I 100
2θ 44.1, I 16
2θ 47.6, I 16
2θ 37.0, I 16
2θ 38.4, I 15
2θ 36.2, I 14
2θ 57.3, I 11
2θ 38.0, I 9
2θ 43.2, I 8
2θ 47.7, I 8

Cell and atoms:
```
data_Li4Co5NiO12
_cell_length_a 4.9295
_cell_length_b 4.9395
_cell_length_c 19.9797
_cell_angle_alpha 92.86
_cell_angle_beta 92.75
_cell_angle_gamma 118.84
_space_group_name_H-M_alt 'P 1'
_space_group_IT_number 1
loop_
_space_group_symop_operation_xyz
'x,y,z'
loop_
_atom_site_label
_atom_site_type_symbol
_atom_site_fract_x
_atom_site_fract_y
_atom_site_fract_z
_atom_site_occupancy
Li1 Li 0.0000 0.0000 0.0000 1
Li2 Li 0.0554 0.0563 0.2531 1
Li3 Li 0.3218 0.6745 0.0016 1
Li4 Li 0.3828 0.7275 0.2512 1
Li5 Li 0.4756 0.4801 0.4982 1
Li6 Li 0.5752 0.5800 0.7534 1
Li7 Li 0.8122 0.1491 0.4987 1
Li8 Li 0.9041 0.2503 0.7534 1
Co1 Co 0.0286 0.0327 0.1265 1
Co2 Co 0.1024 0.4398 0.3750 1
Co3 Co 0.2759 0.2835 0.8768 1
Co4 Co 0.3589 0.7025 0.1264 1
Co5 Co 0.4301 0.1128 0.3746 1
Co6 Co 0.5203 0.5319 0.6260 1
Co7 Co 0.6074 0.9522 0.8768 1
Co8 Co 0.7749 0.7854 0.3761 1
Co9 Co 0.8604 0.1918 0.6260 1
Co10 Co 0.9484 0.6244 0.8776 1
Ni1 Ni 0.1902 0.8621 0.6261 1
Ni2 Ni 0.6931 0.3679 0.1264 1
O1 O 0.0280 0.7092 0.0735 1
O2 O 0.0530 0.3872 0.1760 1
O3 O 0.0857 0.7777 0.3247 1
O4 O 0.1362 0.1373 0.4316 1
O5 O 0.1724 0.4795 0.5729 1
O6 O 0.2085 0.2454 0.6793 1
O7 O 0.2389 0.5978 0.8229 1
O8 O 0.2747 0.9506 0.9310 1
O9 O 0.3301 0.3426 0.0762 1
O10 O 0.3522 0.0325 0.1796 1
O11 O 0.3841 0.4010 0.3197 1
O12 O 0.4770 0.8140 0.4272 1
O13 O 0.5321 0.2033 0.5741 1
O14 O 0.5733 0.8799 0.6792 1
O15 O 0.6099 0.2855 0.8253 1
O16 O 0.6570 0.6651 0.9309 1
O17 O 0.6743 0.0078 0.0768 1
O18 O 0.7184 0.7311 0.1766 1
O19 O 0.7226 0.0541 0.3213 1
O20 O 0.7724 0.4596 0.4251 1
O21 O 0.8073 0.8440 0.5729 1
O22 O 0.8488 0.5205 0.6779 1
O23 O 0.9224 0.9146 0.8230 1
O24 O 0.9889 0.3337 0.9311 1
```

Entry 2:
Theoretical powder X-ray diffraction pattern
Compound: BaCr2PO11
Radiation: Cu Kα (λ = 1.5418 Å)
Structure: a PBE+U-relaxed structure

Main lines, by intensity (10° ≤ 2θ ≤ 90°):
2θ 24.3, I 100
2θ 25.4, I 98
2θ 23.7, I 74
2θ 19.4, I 69
2θ 27.3, I 67
2θ 25.6, I 51
2θ 16.5, I 46
2θ 30.0, I 39
2θ 41.3, I 37
2θ 29.8, I 32

Cell and atoms:
```
data_BaCr2PO11
_cell_length_a 7.5855
_cell_length_b 7.8119
_cell_length_c 9.6093
_cell_angle_alpha 93.98
_cell_angle_beta 105.23
_cell_angle_gamma 106.16
_space_group_name_H-M_alt 'P 1'
_space_group_IT_number 1
loop_
_space_group_symop_operation_xyz
'x,y,z'
loop_
_atom_site_label
_atom_site_type_symbol
_atom_site_fract_x
_atom_site_fract_y
_atom_site_fract_z
_atom_site_occupancy
Ba1 Ba 0.2428 0.0455 0.3848 1
Ba2 Ba 0.7572 0.9545 0.6152 1
Cr1 Cr 0.2568 0.7755 0.7487 1
Cr2 Cr 0.3818 0.5685 0.2475 1
Cr3 Cr 0.6182 0.4315 0.7525 1
Cr4 Cr 0.7432 0.2245 0.2513 1
P1 P 0.1829 0.3517 0.7234 1
P2 P 0.8171 0.6483 0.2766 1
O1 O 0.0546 0.2731 0.8176 1
O2 O 0.0773 0.8469 0.7571 1
O3 O 0.1111 0.2060 0.5887 1
O4 O 0.1569 0.5325 0.6763 1
O5 O 0.2058 0.5264 0.1017 1
O6 O 0.2145 0.0374 0.0789 1
O7 O 0.3638 0.3948 0.3348 1
O8 O 0.3657 0.8780 0.6364 1
O9 O 0.3975 0.7504 0.3539 1
O10 O 0.3990 0.3877 0.8082 1
O11 O 0.4074 0.8036 0.9084 1
O12 O 0.5926 0.1964 0.0916 1
O13 O 0.6010 0.6123 0.1918 1
O14 O 0.6025 0.2496 0.6461 1
O15 O 0.6343 0.1220 0.3636 1
O16 O 0.6362 0.6052 0.6652 1
O17 O 0.7855 0.9626 0.9211 1
O18 O 0.7942 0.4736 0.8983 1
O19 O 0.8431 0.4675 0.3237 1
O20 O 0.8889 0.7940 0.4113 1
O21 O 0.9227 0.1531 0.2429 1
O22 O 0.9454 0.7269 0.1824 1
```

Entry 3:
Theoretical powder X-ray diffraction pattern
Compound: Li2FeP2HO8
Radiation: Cu Kα (λ = 1.5418 Å)
Structure: a PBE+U-relaxed structure

Main lines, by intensity (10° ≤ 2θ ≤ 90°):
2θ 23.5, I 100
2θ 18.0, I 68
2θ 29.6, I 54
2θ 17.1, I 52
2θ 27.5, I 43
2θ 31.4, I 39
2θ 36.5, I 39
2θ 18.8, I 33
2θ 22.6, I 33
2θ 38.3, I 29

Cell and atoms:
```
data_Li2FeP2HO8
_cell_length_a 6.2724
_cell_length_b 7.5573
_cell_length_c 7.8792
_cell_angle_alpha 90.00
_cell_angle_beta 124.48
_cell_angle_gamma 90.00
_space_group_name_H-M_alt 'P 1'
_space_group_IT_number 1
loop_
_space_group_symop_operation_xyz
'x,y,z'
loop_
_atom_site_label
_atom_site_type_symbol
_atom_site_fract_x
_atom_site_fract_y
_atom_site_fract_z
_atom_site_occupancy
Li1 Li 0.0000 0.0463 0.0000 1
Li2 Li 0.0000 0.9537 0.5000 1
Li3 Li 0.9634 0.3765 0.1527 1
Li4 Li 0.9634 0.6235 0.6527 1
Fe1 Fe 0.3762 0.2489 0.7731 1
Fe2 Fe 0.3762 0.7511 0.2731 1
P1 P 0.4516 0.3269 0.2194 1
P2 P 0.4516 0.6731 0.7194 1
P3 P 0.7920 0.1947 0.6434 1
P4 P 0.7920 0.8053 0.1434 1
H1 H 0.9946 0.2623 0.4367 1
H2 H 0.9946 0.7377 0.9367 1
O1 O 0.0846 0.2294 0.7959 1
O2 O 0.0846 0.7706 0.2959 1
O3 O 0.1403 0.1814 0.4861 1
O4 O 0.1403 0.8186 0.9861 1
O5 O 0.2895 0.4957 0.1860 1
O6 O 0.2895 0.5043 0.6860 1
O7 O 0.2981 0.1676 0.2020 1
O8 O 0.2981 0.8324 0.7020 1
O9 O 0.5826 0.3286 0.1022 1
O10 O 0.5826 0.6714 0.6022 1
O11 O 0.6913 0.2416 0.7788 1
O12 O 0.6913 0.7584 0.2788 1
O13 O 0.7001 0.3462 0.4663 1
O14 O 0.7001 0.6538 0.9663 1
O15 O 0.7300 0.0134 0.5515 1
O16 O 0.7300 0.9866 0.0515 1
```

Entry 4:
Theoretical powder X-ray diffraction pattern
Compound: FeP5O15
Radiation: Cu Kα (λ = 1.5418 Å)
Structure: a PBE+U-relaxed structure

Main lines, by intensity (10° ≤ 2θ ≤ 90°):
2θ 17.8, I 100
2θ 21.8, I 95
2θ 11.9, I 69
2θ 20.2, I 67
2θ 10.1, I 65
2θ 16.3, I 50
2θ 31.4, I 40
2θ 26.0, I 37
2θ 17.6, I 35
2θ 12.8, I 34

Cell and atoms:
```
data_FeP5O15
_cell_length_a 5.2286
_cell_length_b 13.8063
_cell_length_c 9.1286
_cell_angle_alpha 90.00
_cell_angle_beta 105.41
_cell_angle_gamma 90.00
_space_group_name_H-M_alt 'P 1'
_space_group_IT_number 1
loop_
_space_group_symop_operation_xyz
'x,y,z'
loop_
_atom_site_label
_atom_site_type_symbol
_atom_site_fract_x
_atom_site_fract_y
_atom_site_fract_z
_atom_site_occupancy
Fe1 Fe 0.0000 0.0000 0.0000 1
Fe2 Fe 0.0000 0.5000 0.0000 1
P1 P 0.0545 0.2500 0.5016 1
P2 P 0.1065 0.5741 0.6813 1
P3 P 0.1065 0.9259 0.6813 1
P4 P 0.4899 0.6396 0.9644 1
P5 P 0.4899 0.8604 0.9644 1
P6 P 0.5101 0.1396 0.0356 1
P7 P 0.5101 0.3604 0.0356 1
P8 P 0.8935 0.0741 0.3187 1
P9 P 0.8935 0.4259 0.3187 1
P10 P 0.9455 0.7500 0.4984 1
O1 O 0.0310 0.0182 0.2216 1
O2 O 0.0310 0.4818 0.2216 1
O3 O 0.0858 0.1625 0.3920 1
O4 O 0.0858 0.3375 0.3920 1
O5 O 0.2053 0.7500 0.4554 1
O6 O 0.2065 0.5209 0.5604 1
O7 O 0.2065 0.9791 0.5604 1
O8 O 0.2168 0.1237 0.0028 1
O9 O 0.2168 0.3763 0.0028 1
O10 O 0.2731 0.2500 0.6481 1
O11 O 0.3339 0.5793 0.0474 1
O12 O 0.3339 0.9207 0.0474 1
O13 O 0.3656 0.6293 0.7816 1
O14 O 0.3656 0.8707 0.7816 1
O15 O 0.4272 0.7500 0.9928 1
O16 O 0.5728 0.2500 0.0072 1
O17 O 0.6344 0.1293 0.2184 1
O18 O 0.6344 0.3707 0.2184 1
O19 O 0.6661 0.0793 0.9526 1
O20 O 0.6661 0.4207 0.9526 1
O21 O 0.7269 0.7500 0.3519 1
O22 O 0.7832 0.6237 0.9972 1
O23 O 0.7832 0.8763 0.9972 1
O24 O 0.7935 0.0209 0.4396 1
O25 O 0.7935 0.4791 0.4396 1
O26 O 0.7947 0.2500 0.5446 1
O27 O 0.9142 0.6625 0.6080 1
O28 O 0.9142 0.8375 0.6080 1
O29 O 0.9690 0.5182 0.7784 1
O30 O 0.9690 0.9818 0.7784 1
```

Entry 5:
Theoretical powder X-ray diffraction pattern
Compound: BaMn2FeSi2O9
Radiation: Cu Kα (λ = 1.5418 Å)
Structure: a PBE+U-relaxed structure

Main lines, by intensity (10° ≤ 2θ ≤ 90°):
2θ 32.2, I 100
2θ 33.2, I 74
2θ 25.5, I 72
2θ 28.8, I 49
2θ 23.5, I 47
2θ 25.2, I 45
2θ 41.7, I 38
2θ 26.1, I 37
2θ 34.2, I 35
2θ 56.2, I 30

Cell and atoms:
```
data_BaMn2FeSi2O9
_cell_length_a 10.8964
_cell_length_b 10.8964
_cell_length_c 5.4559
_cell_angle_alpha 96.13
_cell_angle_beta 96.13
_cell_angle_gamma 37.51
_space_group_name_H-M_alt 'P 1'
_space_group_IT_number 1
loop_
_space_group_symop_operation_xyz
'x,y,z'
loop_
_atom_site_label
_atom_site_type_symbol
_atom_site_fract_x
_atom_site_fract_y
_atom_site_fract_z
_atom_site_occupancy
Ba1 Ba 0.2194 0.2194 0.2408 1
Ba2 Ba 0.7806 0.7806 0.7592 1
Mn1 Mn 0.0000 0.0000 0.5000 1
Mn2 Mn 0.2363 0.7637 0.0000 1
Mn3 Mn 0.5000 0.5000 0.5000 1
Mn4 Mn 0.7637 0.2363 0.0000 1
Fe1 Fe 0.3589 0.3589 0.7874 1
Fe2 Fe 0.6411 0.6411 0.2126 1
Si1 Si 0.0907 0.6377 0.2917 1
Si2 Si 0.3623 0.9093 0.7083 1
Si3 Si 0.6377 0.0907 0.2917 1
Si4 Si 0.9093 0.3623 0.7083 1
O1 O 0.0423 0.0423 0.2047 1
O2 O 0.1399 0.5195 0.5239 1
O3 O 0.1409 0.5212 0.0277 1
O4 O 0.1592 0.1592 0.7205 1
O5 O 0.1858 0.7022 0.3263 1
O6 O 0.2978 0.8142 0.6737 1
O7 O 0.4511 0.4511 0.8254 1
O8 O 0.4788 0.8591 0.9723 1
O9 O 0.4805 0.8601 0.4761 1
O10 O 0.5195 0.1399 0.5239 1
O11 O 0.5212 0.1409 0.0277 1
O12 O 0.5489 0.5489 0.1746 1
O13 O 0.7022 0.1858 0.3263 1
O14 O 0.8142 0.2978 0.6737 1
O15 O 0.8408 0.8408 0.2795 1
O16 O 0.8591 0.4788 0.9723 1
O17 O 0.8601 0.4805 0.4761 1
O18 O 0.9577 0.9577 0.7953 1
```

Entry 6:
Theoretical powder X-ray diffraction pattern
Compound: Li4MnF6
Radiation: Cu Kα (λ = 1.5418 Å)
Structure: a PBE+U-relaxed structure

Main lines, by intensity (10° ≤ 2θ ≤ 90°):
2θ 39.8, I 100
2θ 21.4, I 90
2θ 51.5, I 75
2θ 20.1, I 38
2θ 29.5, I 37
2θ 63.1, I 34
2θ 36.0, I 30
2θ 41.8, I 27
2θ 40.9, I 23
2θ 67.7, I 19

Cell and atoms:
```
data_Li4MnF6
_cell_length_a 8.8361
_cell_length_b 8.8361
_cell_length_c 4.9486
_cell_angle_alpha 90.00
_cell_angle_beta 90.00
_cell_angle_gamma 120.00
_space_group_name_H-M_alt 'P 1'
_space_group_IT_number 1
loop_
_space_group_symop_operation_xyz
'x,y,z'
loop_
_atom_site_label
_atom_site_type_symbol
_atom_site_fract_x
_atom_site_fract_y
_atom_site_fract_z
_atom_site_occupancy
Li1 Li 0.0000 0.3143 0.0000 1
Li2 Li 0.0000 0.3506 0.5000 1
Li3 Li 0.0000 0.6494 0.5000 1
Li4 Li 0.0000 0.6857 0.0000 1
Li5 Li 0.3143 0.0000 0.0000 1
Li6 Li 0.3143 0.3143 0.0000 1
Li7 Li 0.3506 0.0000 0.5000 1
Li8 Li 0.3506 0.3506 0.5000 1
Li9 Li 0.6494 0.0000 0.5000 1
Li10 Li 0.6494 0.6494 0.5000 1
Li11 Li 0.6857 0.0000 0.0000 1
Li12 Li 0.6857 0.6857 0.0000 1
Mn1 Mn 0.0000 0.0000 0.5000 1
Mn2 Mn 0.3333 0.6667 0.9919 1
Mn3 Mn 0.6667 0.3333 0.0081 1
F1 F 0.0946 0.5473 0.7593 1
F2 F 0.1195 0.2390 0.7289 1
F3 F 0.1195 0.8805 0.7289 1
F4 F 0.2133 0.4266 0.2248 1
F5 F 0.2133 0.7867 0.2248 1
F6 F 0.2390 0.1195 0.2711 1
F7 F 0.4266 0.2133 0.7752 1
F8 F 0.4527 0.5473 0.7593 1
F9 F 0.4527 0.9054 0.7593 1
F10 F 0.5473 0.0946 0.2407 1
F11 F 0.5473 0.4527 0.2407 1
F12 F 0.5734 0.7867 0.2248 1
F13 F 0.7610 0.8805 0.7289 1
F14 F 0.7867 0.2133 0.7752 1
F15 F 0.7867 0.5734 0.7752 1
F16 F 0.8805 0.1195 0.2711 1
F17 F 0.8805 0.7610 0.2711 1
F18 F 0.9054 0.4527 0.2407 1
```